Record 1
Starting from a DFT-relaxed cell (GGA-PBE, the Materials Project), the PXRD pattern of Sr2CuO2F2 was computed for Cu Kα (λ = 1.5418 Å).

Most intense lines, 10 to 90 degrees two-theta, in order of rising 2θ:
2theta, intensity
29.19, 100
30.89, 48
31.42, 98
40.91, 42
42.18, 26
47.39, 24
52.48, 45
53.52, 32
56.63, 30
64.36, 20

Structure:
a = 7.0090 Å, b = 7.0090 Å, c = 7.0090 Å
α = 148.23°, β = 143.31°, γ = 49.30°
Sites, in units of the cell vectors:
1 Sr 0.0000 0.0000 0.0000
2 Sr 0.3027 0.3027 0.0000
3 Cu 0.6532 0.6532 0.0000
4 O 0.6485 0.1485 0.5000
5 O 0.8916 0.3916 0.5000
6 F 0.1641 0.6641 0.5000
7 F 0.4144 0.9144 0.5000



Record 2
Starting from a DFT-relaxed cell (GGA-PBE, the Materials Project), the PXRD pattern of NaSmGeO4 was computed for Cu Kα (λ = 1.5418 Å).

Most intense lines, 10 to 90 degrees two-theta, in order of rising 2θ:
2theta, intensity
15.11, 31
18.19, 27
22.60, 74
26.79, 44
28.25, 27
31.34, 100
32.57, 31
33.40, 38
46.15, 27
50.25, 27

Structure:
a = 11.7281 Å, b = 6.6565 Å, c = 5.3627 Å
α = 90.00°, β = 90.00°, γ = 90.00°
Sites, in units of the cell vectors:
1 Na 0.0000 0.0000 0.0000
2 Na 0.0000 0.5000 0.0000
3 Na 0.5000 0.0000 0.5000
4 Na 0.5000 0.5000 0.5000
5 Sm 0.2212 0.2500 0.4999
6 Sm 0.2788 0.7500 0.9999
7 Sm 0.7212 0.2500 0.0001
8 Sm 0.7788 0.7500 0.5001
9 Ge 0.0955 0.7500 0.4407
10 Ge 0.4045 0.2500 0.9407
11 Ge 0.5955 0.7500 0.0593
12 Ge 0.9045 0.2500 0.5593
13 O 0.0442 0.2500 0.6809
14 O 0.1087 0.7500 0.7653
15 O 0.1708 0.5456 0.2909
16 O 0.1708 0.9544 0.2909
17 O 0.3292 0.0456 0.7909
18 O 0.3292 0.4544 0.7909
19 O 0.3913 0.2500 0.2653
20 O 0.4558 0.7500 0.1809
21 O 0.5442 0.2500 0.8191
22 O 0.6087 0.7500 0.7347
23 O 0.6708 0.5456 0.2091
24 O 0.6708 0.9544 0.2091
25 O 0.8292 0.0456 0.7091
26 O 0.8292 0.4544 0.7091
27 O 0.8913 0.2500 0.2347
28 O 0.9558 0.7500 0.3191



Record 3
Starting from a DFT-relaxed cell (GGA-PBE, the Materials Project), the PXRD pattern of Na2TiAgF6 was computed for Cu Kα (λ = 1.5418 Å).

Most intense lines, 10 to 90 degrees two-theta, in order of rising 2θ:
2theta, intensity
20.40, 97
29.00, 100
34.15, 22
41.47, 62
45.39, 17
46.64, 35
51.40, 36
60.10, 34
68.09, 18
82.97, 20

Structure:
a = 6.1581 Å, b = 6.1581 Å, c = 6.1581 Å
α = 60.00°, β = 60.00°, γ = 60.00°
Sites, in units of the cell vectors:
1 Na 0.2500 0.2500 0.2500
2 Na 0.7500 0.7500 0.7500
3 Ti 0.0000 0.0000 0.0000
4 Ag 0.5000 0.5000 0.5000
5 F 0.2247 0.2247 0.7753
6 F 0.2247 0.7753 0.2247
7 F 0.2247 0.7753 0.7753
8 F 0.7753 0.2247 0.2247
9 F 0.7753 0.2247 0.7753
10 F 0.7753 0.7753 0.2247